[1]
The following is a simulated powder X-ray diffraction pattern of Sm12Y5Tm2. It was derived from DFT lattice parameters and positions (PBE), using Cu Kα (weighted mean of Kα1 and Kα2).
No peak broadening, texture or thermal motion is included.

Most intense lines, 15 to 90 degrees two-theta, in order of rising 2θ:
d [Å]  I (rel.)
3.212  24.0
3.000  20.6
2.925  56.6
2.862  23.3
2.819  100.0
2.723  49.7
2.571  22.6
2.537  14.4
2.046  17.2
1.668  25.9

Crystal structure
Lattice parameters (Å, degrees): 10.6411 10.6411 6.2110 100.36 100.36 66.71
Fractional positions:
Sm1 0.0488 0.5588 0.8023
Sm2 0.0548 0.0548 0.2746
Sm3 0.1474 0.6456 0.3817
Sm4 0.3544 0.8526 0.6183
Sm5 0.3821 0.3821 0.9960
Sm6 0.4412 0.9512 0.1977
Sm7 0.5588 0.0488 0.8023
Sm8 0.6179 0.6179 0.0040
Sm9 0.6456 0.1474 0.3817
Sm10 0.8526 0.3544 0.6183
Sm11 0.9452 0.9452 0.7254
Sm12 0.9512 0.4412 0.1977
Y1 0.1765 0.1765 0.8622
Y2 0.2831 0.2831 0.4427
Y3 0.5000 0.5000 0.5000
Y4 0.7169 0.7169 0.5573
Y5 0.8235 0.8235 0.1378
Tm1 0.2668 0.7332 0.0000
Tm2 0.7332 0.2668 0.0000

---

[2]
The following is a simulated powder X-ray diffraction pattern of Ce3TiS7. It was derived from DFT lattice parameters and positions (PBE), using Cu Kα (weighted mean of Kα1 and Kα2).
No peak broadening, texture or thermal motion is included.

Most intense lines, 15 to 90 degrees two-theta, in order of rising 2θ:
d [Å]  I (rel.)
3.694  100.0
3.200  13.6
2.935  12.9
2.506  8.4
2.270  14.3
2.261  50.5
2.162  6.8
1.933  16.8
1.927  19.6
1.467  7.8

Crystal structure
Lattice parameters (Å, degrees): 7.8216 7.8216 9.0791 90.00 90.00 109.41
Fractional positions:
Ce1 0.0060 0.0060 0.0000
Ce2 0.0561 0.4977 0.2521
Ce3 0.4977 0.0561 0.7479
Ce4 0.5023 0.9439 0.2479
Ce5 0.9439 0.5023 0.7521
Ce6 0.9940 0.9940 0.5000
Ti1 0.4969 0.4969 0.5000
Ti2 0.5031 0.5031 0.0000
S1 0.1309 0.8691 0.7500
S2 0.1362 0.8638 0.2500
S3 0.1697 0.4184 0.9674
S4 0.1711 0.4209 0.5363
S5 0.4184 0.1697 0.0326
S6 0.4209 0.1711 0.4637
S7 0.4376 0.5624 0.2500
S8 0.5624 0.4376 0.7500
S9 0.5791 0.8289 0.9637
S10 0.5816 0.8303 0.5326
S11 0.8289 0.5791 0.0363
S12 0.8303 0.5816 0.4674
S13 0.8638 0.1362 0.7500
S14 0.8691 0.1309 0.2500

---

[3]
The following is a simulated powder X-ray diffraction pattern of Bi2H3Pd8Pb. It was derived from DFT lattice parameters and positions (PBE), using Cu Kα (weighted mean of Kα1 and Kα2).
No peak broadening, texture or thermal motion is included.

Most intense lines, 15 to 90 degrees two-theta, in order of rising 2θ:
d [Å]  I (rel.)
2.943  63.4
2.733  100.0
2.720  51.2
2.484  87.3
2.406  90.8
2.287  55.7
2.199  79.2
1.974  52.8
1.472  45.9
1.259  46.8

Crystal structure
Lattice parameters (Å, degrees): 5.8871 5.8871 7.9984 111.87 111.87 60.24
Fractional positions:
Bi1 0.0000 0.0000 0.0000
Bi2 0.6546 0.6546 0.9635
H1 0.1667 0.6657 0.4958
H2 0.6655 0.6655 0.4924
H3 0.6657 0.1667 0.4958
Pd1 0.3733 0.3733 0.6164
Pd2 0.3755 0.8723 0.6158
Pd3 0.4308 0.4308 0.2940
Pd4 0.4355 0.9282 0.2921
Pd5 0.8723 0.3755 0.6158
Pd6 0.8750 0.8750 0.6170
Pd7 0.9282 0.4355 0.2921
Pd8 0.9297 0.9297 0.2924
Pb1 0.3076 0.3076 0.9231

---

[4]
The following is a simulated powder X-ray diffraction pattern of Hf2GeMo. It was derived from DFT lattice parameters and positions (PBE), using Cu Kα (weighted mean of Kα1 and Kα2).
No peak broadening, texture or thermal motion is included.

Most intense lines, 15 to 90 degrees two-theta, in order of rising 2θ:
d [Å]  I (rel.)
3.467  17.1
2.451  60.8
2.290  100.0
1.911  7.0
1.733  21.3
1.525  7.0
1.382  40.1
1.295  16.2
1.145  11.2
1.096  10.1

Crystal structure
Lattice parameters (Å, degrees): 3.4665 3.4665 6.0999 90.00 90.00 90.00
Fractional positions:
Hf1 0.0000 0.0000 0.2485
Hf2 0.0000 0.0000 0.7515
Ge1 0.5000 0.5000 0.5000
Mo1 0.5000 0.5000 0.0000

---

[5]
The following is a simulated powder X-ray diffraction pattern of ZrCuTc. It was derived from DFT lattice parameters and positions (PBE), using Cu Kα (weighted mean of Kα1 and Kα2).
No peak broadening, texture or thermal motion is included.

Most intense lines, 15 to 90 degrees two-theta, in order of rising 2θ:
d [Å]  I (rel.)
3.129  24.5
2.495  72.6
2.354  28.0
2.302  53.7
2.206  66.5
2.188  100.0
2.133  75.9
2.094  71.4
1.470  25.0
1.269  23.4

Crystal structure
Lattice parameters (Å, degrees): 9.3410 4.1873 5.2535 90.00 93.93 90.00
Fractional positions:
Zr1 0.0000 0.0000 0.0000
Zr2 0.0779 0.5000 0.5062
Zr3 0.5000 0.5000 0.0000
Zr4 0.5779 0.0000 0.5062
Cu1 0.1995 0.5000 0.9957
Cu2 0.2892 0.0000 0.7704
Cu3 0.6995 0.0000 0.9957
Cu4 0.7892 0.5000 0.7704
Tc1 0.2958 0.0000 0.2659
Tc2 0.3650 0.5000 0.4788
Tc3 0.7958 0.5000 0.2659
Tc4 0.8650 0.0000 0.4788

---

[6]
The following is a simulated powder X-ray diffraction pattern of NbCr3Cu2S8. It was derived from DFT lattice parameters and positions (PBE), using Cu Kα (weighted mean of Kα1 and Kα2).
No peak broadening, texture or thermal motion is included.

Most intense lines, 15 to 90 degrees two-theta, in order of rising 2θ:
d [Å]  I (rel.)
5.795  19.8
3.566  43.7
3.037  22.2
3.006  100.0
2.947  50.4
2.486  70.8
1.932  26.9
1.916  34.3
1.783  71.3
1.734  63.7

Crystal structure
Lattice parameters (Å, degrees): 6.9425 6.9425 6.9419 118.21 118.21 61.86
Fractional positions:
Nb1 0.0000 0.0000 0.0000
Cr1 0.0211 0.4730 0.0012
Cr2 0.0227 0.9773 0.5000
Cr3 0.5270 0.9789 0.9988
Cu1 0.3850 0.3649 0.6238
Cu2 0.6351 0.6150 0.3762
S1 0.2453 0.7310 0.2425
S2 0.2609 0.2205 0.7594
S3 0.2690 0.7547 0.7575
S4 0.2743 0.2217 0.2325
S5 0.7711 0.2223 0.2557
S6 0.7777 0.2289 0.7443
S7 0.7783 0.7257 0.7675
S8 0.7795 0.7391 0.2406

---

[7]
The following is a simulated powder X-ray diffraction pattern of KNaTlF5. It was derived from DFT lattice parameters and positions (PBE), using Cu Kα (weighted mean of Kα1 and Kα2).
No peak broadening, texture or thermal motion is included.

Most intense lines, 15 to 90 degrees two-theta, in order of rising 2θ:
d [Å]  I (rel.)
5.715  100.0
5.353  42.7
3.735  66.1
3.380  31.0
3.155  79.2
2.878  17.5
2.680  19.2
2.249  16.9
2.206  29.1
2.025  20.5

Crystal structure
Lattice parameters (Å, degrees): 6.4347 6.4347 8.2540 100.35 100.35 112.57
Fractional positions:
K1 0.1590 0.8410 0.7500
K2 0.8410 0.1590 0.2500
Na1 0.1804 0.8196 0.2500
Na2 0.8196 0.1804 0.7500
Tl1 0.5000 0.5000 0.0000
Tl2 0.5000 0.5000 0.5000
F1 0.1390 0.2425 0.9426
F2 0.2097 0.5771 0.3982
F3 0.2425 0.1390 0.4426
F4 0.4139 0.5861 0.7500
F5 0.4229 0.7903 0.1018
F6 0.5771 0.2097 0.8982
F7 0.5861 0.4139 0.2500
F8 0.7575 0.8610 0.5574
F9 0.7903 0.4229 0.6018
F10 0.8610 0.7575 0.0574

---

[8]
The following is a simulated powder X-ray diffraction pattern of W2SeBr. It was derived from DFT lattice parameters and positions (PBE), using Cu Kα (weighted mean of Kα1 and Kα2).
No peak broadening, texture or thermal motion is included.

Most intense lines, 15 to 90 degrees two-theta, in order of rising 2θ:
d [Å]  I (rel.)
3.315  29.1
2.855  29.0
2.519  100.0
2.379  31.4
2.295  72.1
2.287  62.3
2.124  33.0
2.081  68.4
1.948  32.2
1.918  28.7

Crystal structure
Lattice parameters (Å, degrees): 3.3725 3.1797 8.4027 90.00 100.63 90.00
Fractional positions:
W1 0.0000 0.0000 0.0000
W2 0.3670 0.5000 0.8298
Se1 0.5075 0.5000 0.1763
Br1 0.2381 0.0000 0.5784